1.
The following is a theoretical powder diffractogram of Ca2Y3Pt2. It was derived from a DFT-relaxed cell (PBE, Alexandria), using λ = 1.5418 Å (Cu Kα).
No peak broadening, texture or thermal motion is included.

Principal peaks in the range 2θ from 15° to 90°, low angle first:
- (2 0 1), 2θ = 23.3°, rel. 32
- (1 1 -1), 2θ = 25.0°, rel. 50
- (1 1 -2), 2θ = 30.2°, rel. 52
- (3 1 -1), 2θ = 31.3°, rel. 33
- (2 0 2), 2θ = 33.0°, rel. 37
- (3 1 -2), 2θ = 33.2°, rel. 100
- (3 1 0), 2θ = 33.4°, rel. 69
- (4 0 -3), 2θ = 33.7°, rel. 46
- (1 1 2), 2θ = 35.5°, rel. 68
- (1 1 -3), 2θ = 38.2°, rel. 61
- (5 1 -1), 2θ = 43.5°, rel. 32
- (0 2 0), 2θ = 46.6°, rel. 52

a = 12.5913 Å, b = 3.8996 Å, c = 9.1549 Å
α = 90.00°, β = 118.09°, γ = 90.00°
Space group C2/m (No. 12)
Symmetry-distinct sites (fractional):
Ca  0.1654  0.0000  0.3054 x4
Y  0.0000  0.5000  0.5000 x2
Y  0.1201  0.5000  0.9372 x4
Pt  0.1645  0.0000  0.7427 x4

2.
The following is a theoretical powder diffractogram of Ca3Zn8Pt. It was derived from a DFT-relaxed cell (PBE, Alexandria), using λ = 1.5418 Å (Cu Kα).
No peak broadening, texture or thermal motion is included.

Principal peaks in the range 2θ from 15° to 90°, low angle first:
- (0 0 6), 2θ = 19.6°, rel. 45
- (1 0 4), 2θ = 23.3°, rel. 19
- (0 1 8), 2θ = 32.7°, rel. 34
- (1 1 0), 2θ = 33.8°, rel. 34
- (1 0 10), 2θ = 38.4°, rel. 76
- (1 1 6), 2θ = 39.3°, rel. 100
- (2 0 2), 2θ = 39.8°, rel. 74
- (0 2 4), 2θ = 41.5°, rel. 87
- (2 1 10), 2θ = 63.5°, rel. 33
- (0 3 6), 2θ = 64.1°, rel. 21
- (0 2 16), 2θ = 68.6°, rel. 28
- (2 2 0), 2θ = 71.0°, rel. 28

a = 5.3087 Å, b = 5.3087 Å, c = 27.2398 Å
α = 90.00°, β = 90.00°, γ = 120.00°
Space group R3m (No. 160, hexagonal axes)
Symmetry-distinct sites (fractional):
Ca  0.0000  0.0000  0.0000 x3
Ca  0.0000  0.0000  0.1281 x3
Ca  0.0000  0.0000  0.6151 x3
Zn  0.0000  0.0000  0.3086 x3
Zn  0.0000  0.0000  0.8108 x3
Zn  0.0018  0.5009  0.0624 x9
Zn  0.0021  0.5010  0.5574 x9
Pt  0.0000  0.0000  0.5085 x3

3.
The following is a theoretical powder diffractogram of CaZn4Pt4. It was derived from a DFT-relaxed cell (PBE, Alexandria), using λ = 1.5418 Å (Cu Kα).
No peak broadening, texture or thermal motion is included.

Principal peaks in the range 2θ from 15° to 90°, low angle first:
- (1 0 1), 2θ = 17.9°, rel. 56
- (1 0 2), 2θ = 24.7°, rel. 36
- (2 1 1), 2θ = 35.3°, rel. 62
- (2 1 2), 2θ = 39.4°, rel. 12
- (2 0 3), 2θ = 42.7°, rel. 100
- (2 2 0), 2θ = 43.2°, rel. 40
- (3 0 1), 2θ = 47.1°, rel. 17
- (2 1 4), 2θ = 53.1°, rel. 10
- (3 2 2), 2θ = 59.9°, rel. 10
- (4 0 0), 2θ = 62.7°, rel. 14
- (3 2 4), 2θ = 70.8°, rel. 15
- (4 2 3), 2θ = 78.9°, rel. 25

a = 5.9236 Å, b = 5.9236 Å, c = 9.0776 Å
α = 90.00°, β = 90.00°, γ = 90.00°
Space group P4_2/nmc (No. 137, origin choice 2)
Symmetry-distinct sites (fractional):
Ca  0.2500  0.7500  0.2500 x2
Zn  0.0353  0.2500  0.0462 x8
Pt  0.0244  0.2500  0.3415 x8

4.
The following is a theoretical powder diffractogram of Ca4ZnPt3. It was derived from a DFT-relaxed cell (PBE, Alexandria), using λ = 1.5418 Å (Cu Kα).
No peak broadening, texture or thermal motion is included.

Principal peaks in the range 2θ from 15° to 90°, low angle first:
- (2 1 1), 2θ = 23.8°, rel. 92
- (3 1 0), 2θ = 25.1°, rel. 64
- (3 2 1), 2θ = 32.9°, rel. 43
- (1 1 2), 2θ = 33.9°, rel. 26
- (4 2 0), 2θ = 35.8°, rel. 100
- (4 1 1), 2θ = 36.7°, rel. 34
- (2 2 2), 2θ = 39.3°, rel. 23
- (4 0 2), 2θ = 45.7°, rel. 69
- (5 2 1), 2θ = 46.4°, rel. 45
- (3 3 2), 2θ = 47.2°, rel. 29
- (5 2 3), 2θ = 67.2°, rel. 24
- (6 4 2), 2θ = 68.9°, rel. 28

a = 11.2371 Å, b = 11.2371 Å, c = 5.6065 Å
α = 90.00°, β = 90.00°, γ = 90.00°
Space group I4/mcm (No. 140)
Symmetry-distinct sites (fractional):
Ca  0.0852  0.2201  0.0000 x16
Zn  0.0000  0.5000  0.2500 x4
Pt  0.0000  0.0000  0.2500 x4
Pt  0.1454  0.3546  0.5000 x8

5.
The following is a theoretical powder diffractogram of CaZnPt. It was derived from a DFT-relaxed cell (PBE, Alexandria), using λ = 1.5418 Å (Cu Kα).
No peak broadening, texture or thermal motion is included.

Principal peaks in the range 2θ from 15° to 90°, low angle first:
- (0 0 1), 2θ = 22.6°, rel. 50
- (1 0 0), 2θ = 23.6°, rel. 51
- (1 0 1), 2θ = 32.9°, rel. 100
- (1 1 0), 2θ = 41.5°, rel. 60
- (0 0 2), 2θ = 46.1°, rel. 15
- (1 1 1), 2θ = 47.7°, rel. 43
- (1 0 2), 2θ = 52.5°, rel. 13
- (2 0 1), 2θ = 53.9°, rel. 24
- (1 1 2), 2θ = 63.8°, rel. 33
- (2 1 1), 2θ = 70.2°, rel. 22
- (3 0 0), 2θ = 75.7°, rel. 10
- (3 0 1), 2θ = 80.2°, rel. 10

a = 4.3539 Å, b = 4.3539 Å, c = 3.9343 Å
α = 90.00°, β = 90.00°, γ = 120.00°
Space group P-6m2 (No. 187)
Symmetry-distinct sites (fractional):
Ca  0.0000  0.0000  0.0000 x1
Zn  0.3333  0.6667  0.5000 x1
Pt  0.6667  0.3333  0.5000 x1

6.
The following is a theoretical powder diffractogram of Ca2Zn5Pt4. It was derived from a DFT-relaxed cell (PBE, Alexandria), using λ = 1.5418 Å (Cu Kα).
No peak broadening, texture or thermal motion is included.

Principal peaks in the range 2θ from 15° to 90°, low angle first:
- (0 2 0), 2θ = 18.8°, rel. 50
- (1 1 1), 2θ = 19.6°, rel. 97
- (0 0 4), 2θ = 21.9°, rel. 43
- (2 0 0), 2θ = 33.0°, rel. 28
- (1 3 1), 2θ = 33.3°, rel. 68
- (1 3 3), 2θ = 37.0°, rel. 100
- (2 0 4), 2θ = 39.9°, rel. 90
- (1 3 5), 2θ = 43.4°, rel. 43
- (0 4 4), 2θ = 44.4°, rel. 82
- (0 0 8), 2θ = 44.7°, rel. 39
- (1 3 7), 2θ = 51.8°, rel. 27
- (2 6 8), 2θ = 86.0°, rel. 34

a = 5.4362 Å, b = 9.4463 Å, c = 16.2042 Å
α = 90.00°, β = 90.00°, γ = 90.00°
Space group Fmmm (No. 69)
Symmetry-distinct sites (fractional):
Ca  0.0000  0.0000  0.1479 x8
Zn  0.0000  0.0000  0.5000 x4
Zn  0.2500  0.2500  0.0000 x8
Zn  0.2500  0.2500  0.2500 x8
Pt  0.0000  0.1572  0.3730 x16